# K3NdEr2Se6
Simulated PXRD pattern, λ = 1.5418 Å (Cu Kα). Input: a structure optimized by DFT (GGA-PBE).

Atomic structure:
```
K3NdEr2Se6
1.0
3.6699 -6.3569 0.0000
3.6699 6.3569 0.0000
-2.4483 0.0000 7.6901
K Nd Er Se
3 1 2 6
direct
0.0000 0.0000 0.0000
0.3350 0.6650 0.0000
0.6650 0.3350 0.0000
0.5000 0.5000 0.5000
0.1669 0.8331 0.5000
0.8331 0.1669 0.5000
0.0881 0.4313 0.2942
0.2253 0.2253 0.7057
0.4313 0.0881 0.2942
0.5687 0.9119 0.7058
0.7747 0.7747 0.2943
0.9119 0.5687 0.7058
```

The 12 most intense peaks (10 to 90 degrees two-theta), by angle:
d [Å], intensity
7.690, 58
3.624, 13
3.096, 100
2.452, 20
2.268, 34
2.119, 36
2.043, 13
1.821, 12
1.749, 18
1.548, 10
1.424, 11
1.349, 15

# K4NdEr3Se8
Simulated PXRD pattern, λ = 1.5418 Å (Cu Kα). Input: a structure optimized by DFT (GGA-PBE).

Atomic structure:
```
K4NdEr3Se8
1.0
4.2241 2.4388 7.6851
-4.2241 2.4388 7.6851
0.0000 -4.8776 7.6851
K Nd Er Se
4 1 3 8
direct
0.0000 0.0000 0.0000
0.0000 0.5000 0.5000
0.5000 0.0000 0.5000
0.5000 0.5000 0.0000
0.5000 0.5000 0.5000
0.0000 0.0000 0.5000
0.0000 0.5000 0.0000
0.5000 0.0000 0.0000
0.2266 0.7398 0.7398
0.2342 0.2342 0.2342
0.2602 0.2602 0.7734
0.2602 0.7734 0.2602
0.7398 0.2266 0.7398
0.7398 0.7398 0.2266
0.7658 0.7658 0.7658
0.7734 0.2602 0.2602
```

The 12 most intense peaks (10 to 90 degrees two-theta), by angle:
d [Å], intensity
7.685, 59
3.613, 13
3.089, 100
2.448, 20
2.264, 34
2.112, 36
2.037, 14
1.819, 12
1.743, 18
1.544, 10
1.421, 11
1.345, 15

# KErP4O12
Simulated PXRD pattern, λ = 1.5418 Å (Cu Kα). Input: a structure optimized by DFT (GGA-PBE).

Atomic structure:
```
KErP4O12
1.0
7.3261 0.0000 0.0000
0.0000 8.3894 0.0000
-0.1991 0.0000 7.9142
K Er P O
2 2 8 24
direct
0.2328 0.0000 0.2831
0.7672 0.5000 0.7169
0.2610 0.6911 0.7577
0.7390 0.1910 0.2423
0.0648 0.0644 0.9093
0.1120 0.4423 0.3987
0.4032 0.2731 0.9029
0.4947 0.5378 0.3822
0.5053 0.0378 0.6178
0.5968 0.7731 0.0971
0.8880 0.9423 0.6013
0.9352 0.5644 0.0907
0.0204 0.2878 0.3544
0.0340 0.5821 0.2748
0.0716 0.5936 0.9558
0.1090 0.5016 0.5770
0.1774 0.9162 0.9286
0.1926 0.2201 0.8985
0.3196 0.4279 0.3385
0.3396 0.9326 0.6174
0.4085 0.4372 0.8296
0.4638 0.6337 0.5392
0.4850 0.2424 0.0758
0.4903 0.6534 0.2210
0.5097 0.1534 0.7790
0.5150 0.7424 0.9242
0.5362 0.1337 0.4608
0.5915 0.9372 0.1704
0.6604 0.4326 0.3826
0.6804 0.9279 0.6615
0.8074 0.7201 0.1015
0.8226 0.4162 0.0714
0.8910 0.0016 0.4230
0.9284 0.0936 0.0442
0.9660 0.0821 0.7252
0.9796 0.7878 0.6456
```

The 12 most intense peaks (10 to 90 degrees two-theta), by angle:
d [Å], intensity
5.757, 100
5.517, 78
5.444, 49
5.309, 61
3.323, 86
3.291, 71
3.245, 49
3.187, 31
3.116, 68
3.064, 59
2.171, 31
2.098, 31

# K3ErP2O8
Simulated PXRD pattern, λ = 1.5418 Å (Cu Kα). Input: a structure optimized by DFT (GGA-PBE).

Atomic structure:
```
K3ErP2O8
1.0
5.6733 0.0000 0.0000
-2.8367 4.9132 0.0000
0.0000 0.0000 7.7761
K Er P O
3 1 2 8
direct
0.0000 0.0000 0.0000
0.3333 0.6667 0.7336
0.6667 0.3333 0.2663
0.0000 0.0000 0.5000
0.3333 0.6667 0.2606
0.6667 0.3333 0.7394
0.1841 0.3682 0.3327
0.1841 0.8159 0.3327
0.3333 0.6667 0.0654
0.3682 0.1841 0.6673
0.6318 0.8159 0.3327
0.6667 0.3333 0.9346
0.8159 0.1841 0.6673
0.8159 0.6318 0.6673
```

The 12 most intense peaks (10 to 90 degrees two-theta), by angle:
d [Å], intensity
7.776, 52
4.913, 32
4.154, 60
3.049, 100
2.837, 74
2.292, 22
2.077, 43
1.807, 21
1.676, 29
1.603, 27
1.286, 14
1.253, 17

# KErP2O7
Simulated PXRD pattern, λ = 1.5418 Å (Cu Kα). Input: a structure optimized by DFT (GGA-PBE).

Atomic structure:
```
KErP2O7
1.0
7.7400 0.0000 0.0000
0.0000 10.9893 0.0000
-2.6116 0.0000 8.3134
K Er P O
4 4 8 28
direct
0.1748 0.1781 0.0743
0.1748 0.3219 0.5743
0.8252 0.6781 0.4257
0.8252 0.8219 0.9257
0.2343 0.5985 0.2519
0.2343 0.9015 0.7519
0.7657 0.0985 0.2481
0.7657 0.4015 0.7481
0.1283 0.6006 0.8127
0.1283 0.8994 0.3127
0.4401 0.6388 0.6924
0.4401 0.8612 0.1924
0.5599 0.1388 0.8076
0.5599 0.3612 0.3076
0.8717 0.1006 0.6873
0.8717 0.3994 0.1873
0.0071 0.0001 0.2140
0.0071 0.4999 0.7140
0.0711 0.7268 0.7380
0.0711 0.7732 0.2380
0.1387 0.5964 0.9891
0.1387 0.9036 0.4891
0.3312 0.5712 0.8033
0.3312 0.9288 0.3033
0.3317 0.6136 0.5180
0.3317 0.8864 0.0180
0.3735 0.0783 0.7587
0.3735 0.4217 0.2587
0.4562 0.7263 0.2394
0.4562 0.7737 0.7395
0.5438 0.2263 0.2606
0.5438 0.2737 0.7605
0.6265 0.5783 0.7413
0.6265 0.9217 0.2413
0.6683 0.1136 0.9820
0.6683 0.3864 0.4820
0.6688 0.0712 0.6967
0.6688 0.4288 0.1967
0.8613 0.0964 0.5109
0.8613 0.4036 0.0109
0.9289 0.2268 0.7620
0.9289 0.2732 0.2620
0.9929 0.9999 0.7860
0.9929 0.5001 0.2860
```

The 12 most intense peaks (10 to 90 degrees two-theta), by angle:
d [Å], intensity
6.129, 100
5.650, 75
4.584, 23
4.434, 21
4.157, 83
3.692, 22
3.282, 73
3.140, 85
3.100, 38
2.800, 24
2.512, 21
2.044, 26

# KErPO4
Simulated PXRD pattern, λ = 1.5418 Å (Cu Kα). Input: a structure optimized by DFT (GGA-PBE).

Atomic structure:
```
KErPO4
1.0
0.0000 4.2535 4.2535
4.2535 0.0000 4.2535
4.2535 4.2535 0.0000
K Er P O
1 1 1 4
direct
0.0000 0.0000 0.0000
0.7500 0.7500 0.7500
0.5000 0.5000 0.5000
0.1830 0.6057 0.6057
0.6057 0.1830 0.6057
0.6057 0.6057 0.1830
0.6057 0.6057 0.6057
```

The 12 most intense peaks (10 to 90 degrees two-theta), by angle:
d [Å], intensity
4.911, 100
3.008, 77
2.565, 36
1.952, 30
1.902, 9
1.736, 28
1.637, 15
1.504, 12
1.438, 17
1.345, 11
1.191, 10
1.137, 15

# KErPtO4
Simulated PXRD pattern, λ = 1.5418 Å (Cu Kα). Input: a structure optimized by DFT (GGA-PBE).

Atomic structure:
```
KErPtO4
1.0
-3.3095 3.5233 4.6552
3.3095 -3.5233 4.6552
3.3095 3.5233 -4.6552
K Er Pt O
2 2 2 8
direct
0.3810 0.1310 0.2500
0.6190 0.8690 0.7500
0.0000 0.5000 0.5000
0.5000 0.5000 0.0000
0.0000 0.0000 0.5000
0.0000 0.5000 0.0000
0.1752 0.7439 0.4313
0.1874 0.2561 0.9313
0.2231 0.2628 0.5397
0.2231 0.6834 0.9603
0.7769 0.3166 0.0397
0.7769 0.7372 0.4603
0.8126 0.7439 0.0687
0.8248 0.2561 0.5687
```

The 12 most intense peaks (10 to 90 degrees two-theta), by angle:
d [Å], intensity
5.619, 100
5.395, 60
2.950, 45
2.852, 53
2.840, 27
2.810, 75
2.697, 43
2.412, 50
2.328, 24
1.876, 28
1.675, 51
1.475, 18